For MgH32N8O4, a structure optimized by DFT (PBE) gives the simulated powder diffraction line list in this record (a wavelength of 1.5418 Å).

Top 10 peaks for 10° ≤ 2θ ≤ 90°, by angle:
index	d/Å	I (rel.)
0 2 0	4.880	38
1 0 1	4.518	55
1 1 0	4.238	74
0 2 2	3.653	40
1 -1 2	3.418	66
1 0 -2	3.216	64
1 1 3	2.886	100
0 3 2	2.833	40
1 3 0	2.685	49
1 -3 0	2.659	65

Structure:
```
data_MgH32N8O4
_symmetry_space_group_name_H-M 'P 1'
_symmetry_Int_Tables_number 1
_cell_length_a 4.735
_cell_length_b 9.787
_cell_length_c 10.318
_cell_angle_alpha 85.83
_cell_angle_beta 81.40
_cell_angle_gamma 88.79
loop_
_symmetry_equiv_pos_as_xyz
'x,y,z'
loop_
_atom_site_label
_atom_site_type_symbol
_atom_site_fract_x
_atom_site_fract_y
_atom_site_fract_z
Mg1 Mg 0.000 0.000 0.000
H1 H 0.036 0.275 0.620
H2 H 0.042 0.356 0.129
H3 H 0.071 0.435 0.657
H4 H 0.080 0.044 0.731
H5 H 0.119 0.704 0.266
H6 H 0.133 0.964 0.251
H7 H 0.205 0.587 0.156
H8 H 0.217 0.685 0.667
H9 H 0.326 0.799 0.471
H10 H 0.340 0.558 0.889
H11 H 0.384 0.416 0.464
H12 H 0.401 0.512 0.336
H13 H 0.404 0.043 0.427
H14 H 0.478 0.412 0.940
H15 H 0.482 0.880 0.065
H16 H 0.498 0.123 0.999
H17 H 0.508 0.653 0.480
H18 H 0.573 0.189 0.415
H19 H 0.619 0.792 0.538
H20 H 0.622 0.074 0.534
H21 H 0.653 0.553 0.941
H22 H 0.655 0.857 0.193
H23 H 0.706 0.746 0.079
H24 H 0.733 0.218 0.056
H25 H 0.738 0.010 0.771
H26 H 0.751 0.349 0.241
H27 H 0.893 0.645 0.721
H28 H 0.900 0.992 0.374
H29 H 0.904 0.402 0.533
H30 H 0.952 0.556 0.286
H31 H 0.968 0.215 0.222
H32 H 0.971 0.889 0.721
N1 N 0.074 0.373 0.581
N2 N 0.145 0.601 0.254
N3 N 0.441 0.738 0.530
N4 N 0.452 0.513 0.959
N5 N 0.594 0.086 0.437
N6 N 0.677 0.848 0.094
N7 N 0.877 0.295 0.172
N8 N 0.916 0.990 0.705
O1 O 0.075 0.934 0.345
O2 O 0.080 0.651 0.749
O3 O 0.530 0.457 0.391
O4 O 0.700 0.157 0.983
```